Tl4Te: computed PXRD pattern (copper Kα), based on a structure optimized by DFT (GGA-PBE).

Top 10 peaks for 2θ from 10° to 80°, by angle:
- 2θ 16.54, 5.358 Å, intensity 10
- 2θ 23.48, 3.789 Å, intensity 65
- 2θ 28.86, 3.094 Å, intensity 5
- 2θ 33.45, 2.679 Å, intensity 100
- 2θ 41.27, 2.187 Å, intensity 20
- 2θ 48.03, 1.894 Å, intensity 18
- 2θ 54.13, 1.694 Å, intensity 28
- 2θ 59.79, 1.547 Å, intensity 39
- 2θ 70.27, 1.340 Å, intensity 12
- 2θ 75.24, 1.263 Å, intensity 14

Atomic structure:
Cell: 6.562 6.562 6.562 Å, 109.47 109.47 109.47°
Element x y z (fractional)
Tl 0.000 0.000 0.500
Tl 0.000 0.500 0.000
Tl 0.500 0.000 0.000
Tl 0.500 0.500 0.500
Te 0.000 0.000 0.000